For EuSbPd, a DFT-relaxed cell (PBE, the Materials Project) gives the simulated PXRD pattern in this record (a wavelength of 1.5418 Å).
Neutral-atom scattering factors, no anomalous dispersion.

The 10 most intense peaks (10 to 90 degrees two-theta), sorted by position:
2θ (°), intensity
31.3, 54.3
31.9, 100.0
32.2, 35.8
36.8, 32.4
37.8, 43.3
38.5, 55.8
50.4, 20.0
53.7, 21.4
61.8, 27.2
68.1, 16.0

Structural model:
```
data_EuSbPd
_chemical_formula_sum 'Eu4 Sb4 Pd4'
_cell_length_a 7.701
_cell_length_b 4.764
_cell_length_c 8.042
_cell_angle_alpha 90.00
_cell_angle_beta 90.00
_cell_angle_gamma 90.00
_space_group_name_H-M_alt 'P n m a'
_space_group_IT_number 62
loop_
_space_group_symop_operation_xyz
'x,y,z'
'-x,-y,-z'
'-x+1/2,-y,z+1/2'
'x+1/2,y,-z+1/2'
'x+1/2,-y+1/2,-z+1/2'
'-x+1/2,y+1/2,z+1/2'
'-x,y+1/2,-z'
'x,-y+1/2,z'
loop_
_atom_site_label
_atom_site_type_symbol
_atom_site_fract_x
_atom_site_fract_y
_atom_site_fract_z
_atom_site_occupancy
Eu1 Eu 0.007 0.250 0.199 1
Sb1 Sb 0.193 0.250 0.592 1
Pd1 Pd 0.185 0.750 0.419 1
```

=====

For EuSb2Pd2, a DFT-relaxed cell (PBE, the Materials Project) gives the simulated PXRD pattern in this record (a wavelength of 1.5418 Å).
Neutral-atom scattering factors, no anomalous dispersion.

The 10 most intense peaks (10 to 90 degrees two-theta), sorted by position:
2θ (°), intensity
31.5, 62.3
31.8, 100.0
38.6, 72.9
43.5, 26.3
46.6, 23.6
50.6, 32.6
55.7, 24.7
62.0, 19.8
65.6, 24.4
83.1, 14.6

Structural model:
```
data_EuSb2Pd2
_chemical_formula_sum 'Eu2 Sb4 Pd4'
_cell_length_a 4.668
_cell_length_b 4.668
_cell_length_c 10.723
_cell_angle_alpha 90.00
_cell_angle_beta 90.00
_cell_angle_gamma 90.00
_space_group_name_H-M_alt 'P 4/n m m'
_space_group_IT_number 129
loop_
_space_group_symop_operation_xyz
'x,y,z'
'-x,-y,-z'
'-y+1/2,x,z'
'y+1/2,-x,-z'
'-x+1/2,-y+1/2,z'
'x+1/2,y+1/2,-z'
'y,-x+1/2,z'
'-y,x+1/2,-z'
'x+1/2,-y,-z'
'-x+1/2,y,z'
'-y,-x,-z'
'y,x,z'
'-x,y+1/2,-z'
'x,-y+1/2,z'
'y+1/2,x+1/2,-z'
'-y+1/2,-x+1/2,z'
loop_
_atom_site_label
_atom_site_type_symbol
_atom_site_fract_x
_atom_site_fract_y
_atom_site_fract_z
_atom_site_occupancy
Eu1 Eu 0.250 0.250 0.241 1
Sb1 Sb 0.250 0.250 0.873 1
Sb2 Sb 0.250 0.750 0.500 1
Pd1 Pd 0.250 0.250 0.629 1
Pd2 Pd 0.250 0.750 0.000 1
```

=====

For EuSiPd, a DFT-relaxed cell (PBE, the Materials Project) gives the simulated PXRD pattern in this record (a wavelength of 1.5418 Å).
Neutral-atom scattering factors, no anomalous dispersion.

The 10 most intense peaks (10 to 90 degrees two-theta), sorted by position:
2θ (°), intensity
23.7, 11.4
30.7, 100.0
33.8, 70.6
46.3, 17.2
52.7, 42.1
56.6, 11.4
62.2, 11.0
65.8, 17.9
74.4, 8.3
79.4, 18.0

Structural model:
```
data_EuSiPd
_chemical_formula_sum 'Eu4 Si4 Pd4'
_cell_length_a 6.503
_cell_length_b 6.503
_cell_length_c 6.503
_cell_angle_alpha 90.00
_cell_angle_beta 90.00
_cell_angle_gamma 90.00
_space_group_name_H-M_alt 'P 21 3'
_space_group_IT_number 198
_space_group_name_Hall 'P 2ac 2ab 3'
loop_
_atom_site_label
_atom_site_type_symbol
_atom_site_fract_x
_atom_site_fract_y
_atom_site_fract_z
_atom_site_occupancy
Eu1 Eu 0.131 0.131 0.131 1
Si1 Si 0.165 0.335 0.665 1
Pd1 Pd 0.083 0.583 0.917 1
```

=====

For Eu3Sn2Pd2, a DFT-relaxed cell (PBE, the Materials Project) gives the simulated PXRD pattern in this record (a wavelength of 1.5418 Å).
Neutral-atom scattering factors, no anomalous dispersion.

The 10 most intense peaks (10 to 90 degrees two-theta), sorted by position:
2θ (°), intensity
27.8, 38.2
31.1, 50.0
31.4, 63.1
31.6, 51.9
32.5, 44.2
34.0, 87.1
35.9, 23.7
36.9, 100.0
38.3, 31.8
43.7, 36.3

Structural model:
```
data_Eu3Sn2Pd2
_chemical_formula_sum 'Eu12 Sn8 Pd8'
_cell_length_a 6.012
_cell_length_b 8.812
_cell_length_c 14.095
_cell_angle_alpha 90.00
_cell_angle_beta 90.00
_cell_angle_gamma 90.00
_space_group_name_H-M_alt 'P b c m'
_space_group_IT_number 57
loop_
_space_group_symop_operation_xyz
'x,y,z'
'-x,-y,-z'
'-x,-y,z+1/2'
'x,y,-z+1/2'
'x,-y+1/2,-z'
'-x,y+1/2,z'
'-x,y+1/2,-z+1/2'
'x,-y+1/2,z+1/2'
loop_
_atom_site_label
_atom_site_type_symbol
_atom_site_fract_x
_atom_site_fract_y
_atom_site_fract_z
_atom_site_occupancy
Eu1 Eu 0.146 0.107 0.098 1
Eu2 Eu 0.354 0.749 0.250 1
Sn1 Sn 0.150 0.102 0.750 1
Sn2 Sn 0.357 0.750 0.000 1
Pd1 Pd 0.381 0.032 0.589 1
```

=====

Please write out number 2 again, unchanged.
For EuSb2Pd2, a DFT-relaxed cell (PBE, the Materials Project) gives the simulated PXRD pattern in this record (a wavelength of 1.5418 Å).
Neutral-atom scattering factors, no anomalous dispersion.

The 10 most intense peaks (10 to 90 degrees two-theta), sorted by position:
2θ (°), intensity
31.5, 62.3
31.8, 100.0
38.6, 72.9
43.5, 26.3
46.6, 23.6
50.6, 32.6
55.7, 24.7
62.0, 19.8
65.6, 24.4
83.1, 14.6

Structural model:
```
data_EuSb2Pd2
_chemical_formula_sum 'Eu2 Sb4 Pd4'
_cell_length_a 4.668
_cell_length_b 4.668
_cell_length_c 10.723
_cell_angle_alpha 90.00
_cell_angle_beta 90.00
_cell_angle_gamma 90.00
_space_group_name_H-M_alt 'P 4/n m m'
_space_group_IT_number 129
loop_
_space_group_symop_operation_xyz
'x,y,z'
'-x,-y,-z'
'-y+1/2,x,z'
'y+1/2,-x,-z'
'-x+1/2,-y+1/2,z'
'x+1/2,y+1/2,-z'
'y,-x+1/2,z'
'-y,x+1/2,-z'
'x+1/2,-y,-z'
'-x+1/2,y,z'
'-y,-x,-z'
'y,x,z'
'-x,y+1/2,-z'
'x,-y+1/2,z'
'y+1/2,x+1/2,-z'
'-y+1/2,-x+1/2,z'
loop_
_atom_site_label
_atom_site_type_symbol
_atom_site_fract_x
_atom_site_fract_y
_atom_site_fract_z
_atom_site_occupancy
Eu1 Eu 0.250 0.250 0.241 1
Sb1 Sb 0.250 0.250 0.873 1
Sb2 Sb 0.250 0.750 0.500 1
Pd1 Pd 0.250 0.250 0.629 1
Pd2 Pd 0.250 0.750 0.000 1
```

=====

Q: Number 4 is which compound?
A: Eu3Sn2Pd2